1.
Computed XRD peak list of KRb for Cu Kα (λ = 1.5418 Å), from a cell relaxed with PBE.
Intensities are scaled so that the largest is 100.

Structure:
```
data_KRb
_chemical_formula_sum 'K2 Rb2'
_cell_length_a 5.221
_cell_length_b 5.873
_cell_length_c 10.562
_cell_angle_alpha 90.00
_cell_angle_beta 90.01
_cell_angle_gamma 90.00
_symmetry_space_group_name_H-M 'P 1 21/m 1'
_symmetry_Int_Tables_number 11
_symmetry_space_group_name_Hall '-P 2yb'
loop_
_atom_site_label
_atom_site_type_symbol
_atom_site_fract_x
_atom_site_fract_y
_atom_site_fract_z
_atom_site_occupancy
K1 K 0.249 0.250 0.112 1
Rb1 Rb 0.251 0.250 0.637 1
```

Principal peaks in the range 2θ from 15° to 90°, most intense first:
| 2theta | I (rel.) | index |
| --- | --- | --- |
| 22.79 | 100 | 1 1 0 |
| 22.64 | 99 | 0 1 2 |
| 23.97 | 86 | 1 0 -2 |
| 39.11 | 45 | 1 2 -2 |
| 41.54 | 38 | 2 1 -2 |
| 41.28 | 36 | 1 1 -4 |
| 34.33 | 28 | 2 0 0 |
| 30.44 | 24 | 0 2 0 |

***

2.
Computed XRD peak list of K2Rb7 for Cu Kα (λ = 1.5418 Å), from a cell relaxed with PBE.
Intensities are scaled so that the largest is 100.

Structure:
```
data_K2Rb7
_chemical_formula_sum 'K2 Rb7'
_cell_length_a 8.6120
_cell_length_b 8.6120
_cell_length_c 12.1190
_cell_angle_alpha 90.00
_cell_angle_beta 90.00
_cell_angle_gamma 120.00
_symmetry_space_group_name_H-M 'P -3 1 m'
_symmetry_Int_Tables_number 162
_symmetry_space_group_name_Hall '-P 3 2'
loop_
_atom_site_label
_atom_site_type_symbol
_atom_site_fract_x
_atom_site_fract_y
_atom_site_fract_z
_atom_site_occupancy
K1 K 0.3333 0.6667 0.0000 1
Rb1 Rb 0.0000 0.0000 0.0000 1
Rb2 Rb 0.0000 0.3357 0.6705 1
```

Principal peaks in the range 2θ from 15° to 90°, most intense first:
| 2theta | I (rel.) | index |
| --- | --- | --- |
| 21.93 | 100 | 1 1 1 |
| 25.38 | 52 | 2 -1 2 |
| 42.69 | 37 | 4 -2 1 |
| 36.25 | 20 | 1 1 4 |
| 36.13 | 20 | 3 0 0 |
| 42.81 | 12 | 2 -1 5 |
| 69.54 | 11 | 3 3 3 |
| 44.67 | 11 | 2 2 2 |

***

3.
Computed XRD peak list of K7Rb3 for Cu Kα (λ = 1.5418 Å), from a cell relaxed with PBE.
Intensities are scaled so that the largest is 100.

Structure:
```
data_K7Rb3
_chemical_formula_sum 'K14 Rb6'
_cell_length_a 24.310
_cell_length_b 6.781
_cell_length_c 9.623
_cell_angle_alpha 90.00
_cell_angle_beta 102.30
_cell_angle_gamma 90.00
_symmetry_space_group_name_H-M 'C 1 2/m 1'
_symmetry_Int_Tables_number 12
_symmetry_space_group_name_Hall '-C 2y'
loop_
_atom_site_label
_atom_site_type_symbol
_atom_site_fract_x
_atom_site_fract_y
_atom_site_fract_z
_atom_site_occupancy
K1 K 0.000 0.000 0.000 1
K2 K 0.097 0.500 0.803 1
K3 K 0.101 0.500 0.305 1
K4 K 0.199 0.000 0.599 1
Rb1 Rb 0.000 0.000 0.500 1
Rb2 Rb 0.199 0.000 0.104 1
```

Principal peaks in the range 2θ from 15° to 90°, most intense first:
| 2theta | I (rel.) | index |
| --- | --- | --- |
| 22.66 | 100 | 1 1 -2 |
| 22.86 | 98 | 5 1 0 |
| 37.41 | 38 | 6 2 -2 |
| 26.16 | 35 | 6 0 -2 |
| 26.28 | 34 | 0 2 0 |
| 26.57 | 33 | 4 0 2 |
| 44.30 | 30 | 1 3 -2 |
| 37.72 | 25 | 4 2 2 |

***

4.
Computed XRD peak list of K3Rb2 for Cu Kα (λ = 1.5418 Å), from a cell relaxed with PBE.
Intensities are scaled so that the largest is 100.

Structure:
```
data_K3Rb2
_chemical_formula_sum 'K18 Rb12'
_cell_length_a 13.0664
_cell_length_b 13.0664
_cell_length_c 16.7344
_cell_angle_alpha 90.00
_cell_angle_beta 90.00
_cell_angle_gamma 120.00
_symmetry_space_group_name_H-M 'R -3 c'
_symmetry_Int_Tables_number 167
_symmetry_space_group_name_Hall '-R 3 2"c'
loop_
_atom_site_label
_atom_site_type_symbol
_atom_site_fract_x
_atom_site_fract_y
_atom_site_fract_z
_atom_site_occupancy
K1 K 0.0000 0.3270 0.2500 1
Rb1 Rb 0.0000 0.0000 0.1244 1
```

Principal peaks in the range 2θ from 15° to 90°, most intense first:
| 2theta | I (rel.) | index |
| --- | --- | --- |
| 23.59 | 100 | 3 0 0 |
| 29.88 | 37 | 2 1 4 |
| 20.94 | 36 | 1 1 3 |
| 22.66 | 36 | 1 0 4 |
| 26.50 | 27 | 0 2 4 |
| 35.77 | 21 | 1 3 4 |
| 41.46 | 21 | 3 3 0 |
| 40.91 | 17 | 3 2 4 |

***

5.
Computed XRD peak list of K3Rb5 for Cu Kα (λ = 1.5418 Å), from a cell relaxed with PBE.
Intensities are scaled so that the largest is 100.

Structure:
```
data_K3Rb5
_chemical_formula_sum 'K6 Rb10'
_cell_length_a 9.964
_cell_length_b 9.961
_cell_length_c 14.346
_cell_angle_alpha 90.00
_cell_angle_beta 110.23
_cell_angle_gamma 90.00
_symmetry_space_group_name_H-M 'C 1 2 1'
_symmetry_Int_Tables_number 5
_symmetry_space_group_name_Hall 'C 2y'
loop_
_atom_site_label
_atom_site_type_symbol
_atom_site_fract_x
_atom_site_fract_y
_atom_site_fract_z
_atom_site_occupancy
K1 K 0.000 0.000 0.000 1
K2 K 0.128 0.250 0.757 1
Rb1 Rb 0.000 0.500 0.000 1
Rb2 Rb 0.128 0.750 0.756 1
Rb3 Rb 0.250 0.000 0.500 1
```

Principal peaks in the range 2θ from 15° to 90°, most intense first:
| 2theta | I (rel.) | index |
| --- | --- | --- |
| 22.20 | 100 | 2 0 1 |
| 25.29 | 36 | 2 2 -1 |
| 42.76 | 34 | 4 2 0 |
| 26.48 | 17 | 0 0 4 |
| 44.28 | 15 | 2 0 5 |
| 36.92 | 14 | 2 2 3 |
| 36.06 | 14 | 0 4 0 |
| 36.96 | 13 | 2 2 -5 |

***

6.
Computed XRD peak list of KRb for Cu Kα (λ = 1.5418 Å), from a cell relaxed with PBE.
Intensities are scaled so that the largest is 100.

Structure:
```
data_KRb
_chemical_formula_sum 'K6 Rb6'
_cell_length_a 7.773
_cell_length_b 13.517
_cell_length_c 9.290
_cell_angle_alpha 90.00
_cell_angle_beta 90.00
_cell_angle_gamma 90.00
_symmetry_space_group_name_H-M 'I m m 2'
_symmetry_Int_Tables_number 44
_symmetry_space_group_name_Hall 'I 2 -2'
loop_
_atom_site_label
_atom_site_type_symbol
_atom_site_fract_x
_atom_site_fract_y
_atom_site_fract_z
_atom_site_occupancy
K1 K 0.000 0.000 0.000 1
K2 K 0.000 0.339 0.253 1
Rb1 Rb 0.000 0.000 0.500 1
Rb2 Rb 0.000 0.329 0.751 1
```

Principal peaks in the range 2θ from 15° to 90°, most intense first:
| 2theta | I (rel.) | index |
| --- | --- | --- |
| 22.84 | 100 | 2 0 0 |
| 23.25 | 85 | 0 2 2 |
| 32.82 | 34 | 2 2 2 |
| 45.47 | 29 | 2 0 4 |
| 40.33 | 25 | 1 5 2 |
| 57.01 | 14 | 3 3 4 |
| 40.15 | 14 | 3 3 0 |
| 40.42 | 12 | 3 1 2 |

***

7.
Computed XRD peak list of K3Rb2 for Cu Kα (λ = 1.5418 Å), from a cell relaxed with PBE.
Intensities are scaled so that the largest is 100.

Structure:
```
data_K3Rb2
_chemical_formula_sum 'K6 Rb4'
_cell_length_a 11.929
_cell_length_b 4.629
_cell_length_c 15.591
_cell_angle_alpha 90.00
_cell_angle_beta 111.90
_cell_angle_gamma 90.00
_symmetry_space_group_name_H-M 'P 1 21/m 1'
_symmetry_Int_Tables_number 11
_symmetry_space_group_name_Hall '-P 2yb'
loop_
_atom_site_label
_atom_site_type_symbol
_atom_site_fract_x
_atom_site_fract_y
_atom_site_fract_z
_atom_site_occupancy
K1 K 0.020 0.250 0.249 1
K2 K 0.188 0.250 0.037 1
K3 K 0.404 0.750 0.336 1
Rb1 Rb 0.199 0.750 0.539 1
Rb2 Rb 0.395 0.750 0.854 1
```

Principal peaks in the range 2θ from 15° to 90°, most intense first:
| 2theta | I (rel.) | index |
| --- | --- | --- |
| 22.59 | 100 | 3 0 -2 |
| 22.84 | 76 | 1 0 -4 |
| 23.61 | 58 | 2 0 2 |
| 25.76 | 41 | 1 1 -3 |
| 20.80 | 33 | 1 1 0 |
| 25.12 | 32 | 2 1 -2 |
| 45.59 | 23 | 1 2 -4 |
| 20.14 | 22 | 0 1 1 |

***

8.
Computed XRD peak list of KRb6 for Cu Kα (λ = 1.5418 Å), from a cell relaxed with PBE.
Intensities are scaled so that the largest is 100.

Structure:
```
data_KRb6
_chemical_formula_sum 'K3 Rb18'
_cell_length_a 7.9077
_cell_length_b 7.9077
_cell_length_c 34.0455
_cell_angle_alpha 90.00
_cell_angle_beta 90.00
_cell_angle_gamma 120.00
_symmetry_space_group_name_H-M 'R -3 m'
_symmetry_Int_Tables_number 166
_symmetry_space_group_name_Hall '-R 3 2"'
loop_
_atom_site_label
_atom_site_type_symbol
_atom_site_fract_x
_atom_site_fract_y
_atom_site_fract_z
_atom_site_occupancy
K1 K 0.0000 0.0000 0.0000 1
Rb1 Rb 0.0000 0.0000 0.1414 1
Rb2 Rb 0.0000 0.0000 0.2872 1
Rb3 Rb 0.0000 0.0000 0.4281 1
```

Principal peaks in the range 2θ from 15° to 90°, most intense first:
| 2theta | I (rel.) | index |
| --- | --- | --- |
| 22.45 | 100 | 1 1 0 |
| 39.45 | 33 | 3 0 0 |
| 31.97 | 20 | 0 2 7 |
| 51.62 | 20 | 1 3 7 |
| 39.31 | 11 | 0 1 14 |
| 62.04 | 11 | 3 2 7 |
| 45.76 | 7 | 2 0 14 |
| 45.90 | 7 | 2 2 0 |